Simulated powder XRD pattern
Compound: K4TlNi3F12
Radiation: copper Kα
Structure: a GGA+U-relaxed structure

Atomic structure:
```
K4TlNi3F12
1.0
-4.2353 4.2353 4.2353
4.2353 -4.2353 4.2353
4.2353 4.2353 -4.2353
K Tl Ni F
4 1 3 12
direct
0.0000 0.0000 0.5000 K
0.0000 0.5000 0.0000 K
0.5000 0.0000 0.0000 K
0.5000 0.5000 0.5000 K
0.0000 0.0000 0.0000 Tl
0.0000 0.5000 0.5000 Ni
0.5000 0.0000 0.5000 Ni
0.5000 0.5000 0.0000 Ni
0.0000 0.2718 0.2718 F
0.0000 0.7282 0.7282 F
0.2500 0.5000 0.7500 F
0.2500 0.7500 0.5000 F
0.2718 0.0000 0.2718 F
0.2718 0.2718 0.0000 F
0.5000 0.2500 0.7500 F
0.5000 0.7500 0.2500 F
0.7282 0.0000 0.7282 F
0.7282 0.7282 0.0000 F
0.7500 0.2500 0.5000 F
0.7500 0.5000 0.2500 F
```

The 6 most intense peaks (2θ from 15° to 90°), sorted by position:
two_theta  I/Imax
20.98  50
29.83  100
42.70  48
48.04  22
52.96  38
61.97  28